K2H2C2S2N2O: computed X-ray powder pattern (Cu Kα X-rays), based on the GGA-PBE geometry in the Materials Project.

Top 8 peaks for 10 to 80 degrees two-theta, in order of rising 2θ:
Position (°2θ)	Rel. int.	hkl
17.96	23	0 0 2
27.92	20	2 2 0
28.46	48	0 2 2
29.38	100	2 2 1
29.53	19	3 1 1
33.40	19	2 2 2
39.28	35	2 2 3
44.65	24	0 4 0

Structure:
Unit cell a=10.361 b=8.118 c=9.880 alpha=90.00 beta=90.00 gamma=90.00
Space group Pnma (No. 62)
Unique sites:
K  0.166  0.001  0.233 x8
H  0.005  0.750  0.009 x4
H  0.045  0.250  0.839 x4
C  0.067  0.750  0.613 x4
C  0.090  0.250  0.556 x4
S  0.093  0.750  0.785 x4
S  0.196  0.750  0.503 x4
N  0.058  0.250  0.429 x4
N  0.131  0.250  0.668 x4
O  0.033  0.750  0.104 x4